Record 1
TbPS4: calculated powder diffraction line list (CuKα), based on the PBE geometry in the Materials Project.
Neutral-atom scattering factors, no anomalous dispersion.

Largest 6 diffraction maxima, low angle first, 5 to 70 degrees two-theta:
two_theta, I/Imax
16.37, 100
24.83, 62
29.88, 50
37.12, 33
38.19, 42
41.80, 50

Crystal structure
```
TbPS4
1.0
-5.416 5.416 9.570
5.416 -5.416 9.570
5.416 5.416 -9.570
Tb P S
8 8 32
Direct
0.125 0.375 0.750 Tb
0.125 0.875 0.250 Tb
0.375 0.125 0.250 Tb
0.375 0.625 0.750 Tb
0.625 0.375 0.250 Tb
0.625 0.875 0.750 Tb
0.875 0.125 0.750 Tb
0.875 0.625 0.250 Tb
0.212 0.250 0.462 P
0.250 0.288 0.038 P
0.250 0.788 0.538 P
0.288 0.750 0.038 P
0.712 0.250 0.962 P
0.750 0.212 0.462 P
0.750 0.712 0.962 P
0.788 0.750 0.538 P
0.085 0.883 0.474 S
0.091 0.389 0.974 S
0.096 0.664 0.939 S
0.111 0.409 0.526 S
0.117 0.091 0.202 S
0.157 0.096 0.932 S
0.164 0.596 0.439 S
0.225 0.157 0.561 S
0.275 0.836 0.932 S
0.336 0.775 0.432 S
0.343 0.275 0.939 S
0.383 0.585 0.974 S
0.389 0.915 0.298 S
0.404 0.343 0.568 S
0.409 0.383 0.298 S
0.415 0.889 0.798 S
0.585 0.111 0.202 S
0.591 0.617 0.702 S
0.596 0.657 0.432 S
0.611 0.085 0.702 S
0.617 0.415 0.026 S
0.657 0.725 0.061 S
0.664 0.225 0.568 S
0.725 0.164 0.068 S
0.775 0.843 0.439 S
0.836 0.404 0.561 S
0.843 0.904 0.068 S
0.883 0.909 0.798 S
0.889 0.591 0.474 S
0.904 0.336 0.061 S
0.909 0.611 0.026 S
0.915 0.117 0.526 S
```

Record 2
Th2P2S: calculated powder diffraction line list (CuKα), based on the PBE geometry in the Materials Project.
Neutral-atom scattering factors, no anomalous dispersion.

Largest 6 diffraction maxima, low angle first, 5 to 70 degrees two-theta:
two_theta, I/Imax
14.00, 53
24.37, 100
28.22, 49
32.43, 31
34.74, 40
43.51, 40

Crystal structure
```
Th2P2S
1.0
3.652 0.000 0.000
0.000 3.652 0.000
0.000 0.000 12.653
Th P S
2 2 1
Direct
0.000 0.000 0.205 Th
0.000 0.000 0.795 Th
0.000 0.000 0.422 P
0.000 0.000 0.578 P
0.000 0.000 0.000 S
```

Record 3
ThP2S6: calculated powder diffraction line list (CuKα), based on the PBE geometry in the Materials Project.
Neutral-atom scattering factors, no anomalous dispersion.

Largest 6 diffraction maxima, low angle first, 5 to 70 degrees two-theta:
two_theta, I/Imax
12.44, 100
17.63, 24
21.87, 25
25.24, 34
28.04, 24
33.48, 44

Crystal structure
```
ThP2S6
1.0
7.114 0.000 0.000
0.000 7.114 0.000
0.000 0.000 9.903
Th P S
2 4 12
Direct
0.000 0.000 0.250 Th
0.000 0.000 0.750 Th
0.059 0.350 0.000 P
0.350 0.941 0.500 P
0.650 0.059 0.500 P
0.941 0.650 0.000 P
0.173 0.823 0.000 S
0.177 0.173 0.500 S
0.209 0.321 0.172 S
0.209 0.321 0.828 S
0.321 0.791 0.328 S
0.321 0.791 0.672 S
0.679 0.209 0.328 S
0.679 0.209 0.672 S
0.791 0.679 0.172 S
0.791 0.679 0.828 S
0.823 0.827 0.500 S
0.827 0.177 0.000 S
```

Record 4
ThPS: calculated powder diffraction line list (CuKα), based on the PBE geometry in the Materials Project.
Neutral-atom scattering factors, no anomalous dispersion.

Largest 6 diffraction maxima, low angle first, 5 to 70 degrees two-theta:
two_theta, I/Imax
21.63, 32
24.94, 100
31.94, 36
38.90, 53
40.01, 41
52.84, 28

Crystal structure
```
ThPS
1.0
3.963 0.000 0.000
0.000 3.963 0.000
0.000 0.000 8.218
Th P S
2 2 2
Direct
0.250 0.250 0.233 Th
0.750 0.750 0.767 Th
0.250 0.750 0.500 P
0.750 0.250 0.500 P
0.250 0.250 0.867 S
0.750 0.750 0.133 S
```

Record 5
TmPS: calculated powder diffraction line list (CuKα), based on the PBE geometry in the Materials Project.
Neutral-atom scattering factors, no anomalous dispersion.

Largest 6 diffraction maxima, low angle first, 5 to 70 degrees two-theta:
two_theta, I/Imax
21.50, 30
26.22, 100
34.16, 20
40.45, 26
40.72, 65
48.85, 23

Crystal structure
```
TmPS
1.0
5.296 0.000 0.000
0.000 5.249 0.000
0.000 0.000 16.534
Tm P S
8 8 8
Direct
0.015 0.250 0.146 Tm
0.016 0.750 0.362 Tm
0.484 0.250 0.862 Tm
0.485 0.750 0.646 Tm
0.515 0.250 0.354 Tm
0.516 0.750 0.138 Tm
0.984 0.250 0.638 Tm
0.985 0.750 0.854 Tm
0.208 0.533 0.997 P
0.208 0.967 0.997 P
0.292 0.033 0.497 P
0.292 0.467 0.497 P
0.708 0.533 0.503 P
0.708 0.967 0.503 P
0.792 0.033 0.003 P
0.792 0.467 0.003 P
0.011 0.250 0.316 S
0.015 0.750 0.189 S
0.485 0.250 0.689 S
0.489 0.750 0.816 S
0.511 0.250 0.184 S
0.515 0.750 0.311 S
0.985 0.250 0.811 S
0.989 0.750 0.684 S
```

Record 6
U3P4S16: calculated powder diffraction line list (CuKα), based on the PBE geometry in the Materials Project.
Neutral-atom scattering factors, no anomalous dispersion.

Largest 6 diffraction maxima, low angle first, 5 to 70 degrees two-theta:
two_theta, I/Imax
16.17, 100
24.96, 64
29.90, 62
36.67, 37
38.00, 52
41.56, 53

Crystal structure
```
U3P4S16
1.0
-5.480 5.480 9.396
5.480 -5.480 9.396
5.480 5.480 -9.396
U P S
6 8 32
Direct
0.000 0.000 0.000 U
0.000 0.500 0.500 U
0.250 0.250 0.000 U
0.500 0.000 0.500 U
0.500 0.500 0.000 U
0.750 0.750 0.000 U
0.340 0.127 0.718 P
0.373 0.160 0.282 P
0.377 0.660 0.786 P
0.409 0.623 0.282 P
0.840 0.123 0.214 P
0.873 0.591 0.214 P
0.877 0.091 0.718 P
0.909 0.627 0.786 P
0.008 0.788 0.048 S
0.011 0.472 0.264 S
0.028 0.489 0.736 S
0.039 0.208 0.316 S
0.039 0.992 0.780 S
0.208 0.746 0.736 S
0.212 0.260 0.220 S
0.219 0.525 0.177 S
0.240 0.288 0.780 S
0.254 0.989 0.462 S
0.277 0.961 0.169 S
0.292 0.461 0.684 S
0.348 0.042 0.823 S
0.392 0.708 0.169 S
0.458 0.152 0.177 S
0.475 0.652 0.695 S
0.508 0.461 0.220 S
0.511 0.246 0.538 S
0.528 0.792 0.538 S
0.539 0.223 0.831 S
0.539 0.760 0.048 S
0.708 0.972 0.462 S
0.712 0.492 0.952 S
0.719 0.542 0.695 S
0.740 0.961 0.952 S
0.754 0.292 0.264 S
0.777 0.608 0.316 S
0.792 0.108 0.831 S
0.848 0.025 0.305 S
0.892 0.723 0.684 S
0.958 0.781 0.305 S
0.975 0.281 0.823 S
```

Record 7
UP4S12: calculated powder diffraction line list (CuKα), based on the PBE geometry in the Materials Project.
Neutral-atom scattering factors, no anomalous dispersion.

Largest 6 diffraction maxima, low angle first, 5 to 70 degrees two-theta:
two_theta, I/Imax
11.15, 32
13.34, 72
17.42, 100
27.87, 37
33.90, 29
39.10, 31

Crystal structure
```
UP4S12
1.0
-6.637 6.637 4.948
6.637 -6.637 4.948
6.637 6.637 -4.948
U P S
2 8 24
Direct
0.375 0.125 0.250 U
0.625 0.875 0.750 U
0.113 0.686 0.060 P
0.126 0.053 0.440 P
0.186 0.626 0.573 P
0.447 0.387 0.073 P
0.553 0.613 0.927 P
0.814 0.374 0.427 P
0.874 0.947 0.560 P
0.887 0.314 0.940 P
0.006 0.361 0.516 S
0.010 0.494 0.855 S
0.039 0.822 0.052 S
0.139 0.155 0.645 S
0.183 0.203 0.337 S
0.271 0.988 0.448 S
0.297 0.134 0.980 S
0.322 0.771 0.783 S
0.345 0.490 0.984 S
0.346 0.683 0.480 S
0.366 0.846 0.163 S
0.488 0.539 0.717 S
0.512 0.461 0.283 S
0.634 0.154 0.837 S
0.654 0.317 0.520 S
0.655 0.510 0.016 S
0.678 0.229 0.217 S
0.703 0.866 0.020 S
0.729 0.012 0.552 S
0.817 0.797 0.663 S
0.861 0.845 0.355 S
0.961 0.178 0.948 S
0.990 0.506 0.145 S
0.994 0.639 0.484 S
```

Record 8
U2PS: calculated powder diffraction line list (CuKα), based on the PBE geometry in the Materials Project.
Neutral-atom scattering factors, no anomalous dispersion.

Largest 6 diffraction maxima, low angle first, 5 to 70 degrees two-theta:
two_theta, I/Imax
28.05, 100
32.50, 93
46.62, 68
55.29, 50
57.98, 24
68.06, 11

Crystal structure
```
U2PS
1.0
-2.755 2.755 5.512
2.755 -2.755 5.512
2.755 2.755 -5.512
U P S
4 2 2
Direct
0.125 0.375 0.750 U
0.375 0.125 0.250 U
0.625 0.875 0.750 U
0.875 0.625 0.250 U
0.375 0.625 0.750 P
0.625 0.375 0.250 P
0.125 0.875 0.250 S
0.875 0.125 0.750 S
```